[1]
Starting from a crystal structure in Alexandria, relaxed with GGA-PBE, the powder diffractogram of Zn5FeCu6 was computed for Cu Kα (λ = 1.5418 Å).

Largest 8 diffraction maxima, in order of rising 2θ, 2θ = 10–90°:
- d 2.134, rel. 100, hkl 1 3 2
- d 1.972, rel. 19, hkl 0 6 0
- d 1.965, rel. 19, hkl 2 0 0
- d 1.662, rel. 11, hkl 0 0 4
- d 1.392, rel. 11, hkl 2 6 0
- d 1.271, rel. 8, hkl 0 6 4
- d 1.167, rel. 12, hkl 1 9 2
- d 1.164, rel. 12, hkl 3 3 2

Structural model:
Lattice parameters (Å, degrees): 3.930 11.833 6.646 90.00 90.00 90.00
Space group Cmmm (No. 65)
Inequivalent atoms, fractional coordinates:
Zn1 0.000 0.000 0.000 x2
Zn2 0.000 0.332 0.000 x4
Zn3 0.000 0.335 0.500 x4
Fe1 0.000 0.000 0.500 x2
Cu1 0.000 0.164 0.253 x8
Cu2 0.000 0.500 0.251 x4

[2]
Starting from a crystal structure in Alexandria, relaxed with GGA-PBE, the powder diffractogram of ZnFe4Cu was computed for Cu Kα (λ = 1.5418 Å).

Largest 8 diffraction maxima, in order of rising 2θ, 2θ = 10–90°:
- d 3.834, rel. 2, hkl 1 1 1
- d 2.348, rel. 35, hkl 2 2 0
- d 2.002, rel. 100, hkl 3 1 1
- d 1.917, rel. 34, hkl 2 2 2
- d 1.660, rel. 2, hkl 4 0 0
- d 1.355, rel. 11, hkl 4 2 2
- d 1.278, rel. 27, hkl 5 1 1
- d 1.174, rel. 23, hkl 4 4 0

Structural model:
Lattice parameters (Å, degrees): 6.640 6.640 6.640 90.00 90.00 90.00
Space group F-43m (No. 216)
Inequivalent atoms, fractional coordinates:
Zn1 0.000 0.000 0.000 x4
Fe1 0.125 0.125 0.625 x16
Cu1 0.250 0.250 0.250 x4

[3]
Starting from a crystal structure in Alexandria, relaxed with GGA-PBE, the powder diffractogram of Ga7Cu3 was computed for Cu Kα (λ = 1.5418 Å).

Largest 8 diffraction maxima, in order of rising 2θ, 2θ = 10–90°:
- d 2.759, rel. 25, hkl 3 1 0
- d 2.519, rel. 44, hkl 2 2 2
- d 2.332, rel. 43, hkl 3 2 1
- d 2.057, rel. 100, hkl 3 3 0
- d 1.781, rel. 19, hkl 4 2 2
- d 1.454, rel. 18, hkl 6 0 0
- d 1.415, rel. 14, hkl 5 3 2
- d 1.187, rel. 34, hkl 6 3 3

Structural model:
Lattice parameters (Å, degrees): 8.725 8.725 8.725 90.00 90.00 90.00
Space group Im-3m (No. 229)
Inequivalent atoms, fractional coordinates:
Ga1 0.000 0.250 0.500 x12
Ga2 0.165 0.165 0.165 x16
Cu1 0.000 0.000 0.346 x12

[4]
Starting from a crystal structure in Alexandria, relaxed with GGA-PBE, the powder diffractogram of Ga4Cu5 was computed for Cu Kα (λ = 1.5418 Å).

Largest 8 diffraction maxima, in order of rising 2θ, 2θ = 10–90°:
- d 2.343, rel. 69, hkl 2 0 1
- d 2.256, rel. 61, hkl 4 0 -1
- d 2.103, rel. 100, hkl 1 3 -1
- d 1.979, rel. 81, hkl 3 3 0
- d 1.767, rel. 28, hkl 2 0 -2
- d 1.513, rel. 16, hkl 6 0 0
- d 1.335, rel. 21, hkl 1 3 2
- d 1.302, rel. 19, hkl 5 3 -2

Structural model:
Lattice parameters (Å, degrees): 9.621 7.852 3.537 90.00 109.38 90.00
Space group C2/m (No. 12)
Inequivalent atoms, fractional coordinates:
Ga1 0.158 0.169 0.159 x8
Cu1 0.000 0.000 0.500 x2
Cu2 0.000 0.338 0.500 x4
Cu3 0.162 0.500 0.154 x4